(1)
For KRbHgI4, a crystal structure in Alexandria, relaxed with PBE gives the calculated powder diffractogram in this record (Cu Kα X-rays).

Crystal structure
abc: 8.279 8.437 10.062
angles: 90.00 107.50 90.00
Space group P2_1/m (No. 11)
Inequivalent atoms, fractional coordinates:
K 0.230 0.250 0.059 x2
Rb 0.236 0.250 0.557 x2
Hg 0.230 0.750 0.813 x2
I 0.006 0.509 0.245 x4
I 0.422 0.750 0.622 x2
I 0.432 0.750 0.094 x2

Principal peaks in the range 5° ≤ 2θ ≤ 70°, low angle first:
- d = 7.262 Å, 12.19 deg, I 274, hkl 1 0 -1
- d = 6.336 Å, 13.98 deg, I 300, hkl 0 1 1
- d = 4.793 Å, 18.51 deg, I 345, hkl 1 0 -2
- d = 3.721 Å, 23.92 deg, I 597, hkl 1 2 0
- d = 3.645 Å, 24.42 deg, I 352, hkl 1 0 2
- d = 3.340 Å, 26.69 deg, I 1000, hkl 2 1 -2
- d = 2.883 Å, 31.02 deg, I 276, hkl 2 2 0
- d = 2.515 Å, 35.70 deg, I 392, hkl 1 0 -4
- d = 2.259 Å, 39.91 deg, I 470, hkl 3 2 -2
- d = 2.225 Å, 40.55 deg, I 318, hkl 1 3 2

(2)
For Cu4Si4Pb4C4ClO28, a crystal structure in Alexandria, relaxed with PBE gives the calculated powder diffractogram in this record (Cu Kα X-rays).

Crystal structure
abc: 14.149 14.149 6.131
angles: 90.00 90.00 90.00
Space group I4/m (No. 87)
Inequivalent atoms, fractional coordinates:
Cu 0.250 0.250 0.250 x8
Si 0.112 0.115 0.000 x8
Pb 0.031 0.231 0.500 x8
C 0.069 0.354 0.000 x8
Cl 0.000 0.000 0.500 x2
O 0.002 0.866 0.000 x8
O 0.024 0.349 0.181 x16
O 0.139 0.660 0.500 x8
O 0.152 0.161 0.228 x16
O 0.194 0.294 0.500 x8

Principal peaks in the range 5° ≤ 2θ ≤ 70°, low angle first:
- d = 7.075 Å, 12.51 deg, I 389, hkl 2 0 0
- d = 5.625 Å, 15.75 deg, I 486, hkl 1 0 1
- d = 5.003 Å, 17.73 deg, I 311, hkl 2 2 0
- d = 4.474 Å, 19.84 deg, I 407, hkl 3 1 0
- d = 4.403 Å, 20.17 deg, I 587, hkl 2 1 1
- d = 3.537 Å, 25.18 deg, I 437, hkl 4 0 0
- d = 3.305 Å, 26.98 deg, I 773, hkl 3 2 1
- d = 2.995 Å, 29.84 deg, I 1000, hkl 1 4 1
- d = 2.614 Å, 34.31 deg, I 724, hkl 2 2 2
- d = 2.569 Å, 34.92 deg, I 324, hkl 5 0 1